Simulated X-ray powder pattern
Compound: BaLi2CoO4
Radiation: λ = 1.5418 Å (Cu Kα)
Structure: a GGA+U-relaxed structure
Kinematic intensities with the Lorentz-polarization factor, no thermal factor.

Structure:
Unit cell a=5.2826 b=5.2826 c=5.2826 alpha=117.82 beta=117.82 gamma=93.81
Sites, in units of the cell vectors:
Ba (0.0000, 0.0000, 0.0000)
Li (0.2500, 0.7500, 0.5000)
Li (0.7500, 0.2500, 0.5000)
Co (0.5000, 0.5000, 0.0000)
O (0.1608, 0.1608, 0.6243)
O (0.4634, 0.8392, 0.0000)
O (0.5366, 0.5366, 0.3757)
O (0.8392, 0.4634, 0.0000)

Main lines, by intensity (15 to 90 degrees two-theta):
- 3.858 Å, I = 100.0
- 2.635 Å, I = 84.6
- 2.176 Å, I = 43.6
- 1.556 Å, I = 33.5
- 3.609 Å, I = 28.9
- 2.728 Å, I = 26.1
- 1.929 Å, I = 21.0
- 2.311 Å, I = 20.0
- 4.352 Å, I = 19.0
- 1.505 Å, I = 18.3